[1]
For Na2Al2Si3O10, a structure optimized by DFT (PBE) gives the calculated XRD peak list in this record (Cu Kα X-rays).
Intensities are scaled so that the largest is 100.

Main lines, low angle first (15 to 90 degrees two-theta):
hkl	d_spacing	Position (°2θ)	I/Imax
2 0 -2	5.858	15.13	93
1 1 0	5.691	15.57	82
3 1 -2	4.047	21.97	53
0 2 1	3.035	29.43	100
2 2 -1	3.019	29.59	86
1 1 2	2.971	30.08	78
5 1 -2	2.885	30.99	55
5 1 -1	2.610	34.37	53

Structural model:
a = 16.3572 Å, b = 6.4978 Å, c = 11.7247 Å
α = 90.00°, β = 133.45°, γ = 90.00°
Space group C2 (No. 5)
Symmetry-distinct sites (fractional):
Na 0.1347 0.0000 0.3552
Na 0.2440 0.2475 0.8628
Al 0.0914 0.4743 0.2168
Al 0.1312 0.7173 0.7132
Si 0.0000 0.0979 0.5000
Si 0.0000 0.8557 0.0000
Si 0.0901 0.4722 0.4600
Si 0.1280 0.2285 0.0301
O 0.9996 0.6561 0.3504
O 0.0322 0.2396 0.4179
O 0.0490 0.3984 0.8932
O 0.0654 0.9968 0.9656
O 0.0954 0.7233 0.1595
O 0.1127 0.9709 0.6444
O 0.1497 0.2851 0.1845
O 0.1606 0.5128 0.6446
O 0.1696 0.4594 0.4213
O 0.2493 0.2090 0.0796

---

[2]
For NaAlSi3O8, a structure optimized by DFT (PBE) gives the calculated XRD peak list in this record (Cu Kα X-rays).
Intensities are scaled so that the largest is 100.

Main lines, low angle first (15 to 90 degrees two-theta):
hkl	d_spacing	Position (°2θ)	I/Imax
0 1 1	4.216	21.07	14
2 0 -2	4.162	21.35	100
1 1 0	3.784	23.51	14
1 1 -2	3.738	23.80	18
0 1 2	3.241	27.52	83
2 1 -1	2.984	29.94	16
2 1 -3	2.940	30.41	13
4 0 -4	2.082	43.46	23

Structural model:
a = 8.3272 Å, b = 4.8073 Å, c = 11.9086 Å
α = 90.00°, β = 132.53°, γ = 90.00°
Space group Pc (No. 7)
Symmetry-distinct sites (fractional):
Na 0.0000 0.1531 0.0000
Al 0.8680 0.1109 0.6715
Si 0.1731 0.3873 0.3558
Si 0.4810 0.1035 0.6682
Si 0.5451 0.3850 0.3539
O 0.0276 0.1792 0.2105
O 0.0373 0.3385 0.8284
O 0.2508 0.2312 0.5107
O 0.3927 0.4727 0.3883
O 0.4043 0.1665 0.2079
O 0.5993 0.3324 0.8073
O 0.6532 0.0108 0.6569
O 0.7750 0.2471 0.4988

---

[3]
For Na3Al3Si3O16, a structure optimized by DFT (PBE) gives the calculated XRD peak list in this record (Cu Kα X-rays).
Intensities are scaled so that the largest is 100.

Main lines, low angle first (15 to 90 degrees two-theta):
hkl	d_spacing	Position (°2θ)	I/Imax
2 0 2	4.498	19.74	19
1 2 2	3.680	24.19	100
1 0 4	3.647	24.41	36
2 1 4	2.837	31.53	12
0 4 2	2.604	34.44	36
5 0 2	2.128	42.48	12
3 2 4	2.121	42.62	12
3 0 6	2.111	42.83	15

Structural model:
a = 12.7751 Å, b = 12.7751 Å, c = 15.4513 Å
α = 90.00°, β = 90.00°, γ = 120.00°
Space group R3c (No. 161, hexagonal axes)
Symmetry-distinct sites (fractional):
Na 0.2113 0.4257 0.0000
Al 0.0018 0.2470 0.6443
Si 0.9995 0.2503 0.1448
O 0.0000 0.0000 0.3297
O 0.0039 0.2928 0.2456
O 0.0062 0.2952 0.7521
O 0.0534 0.1074 0.9133
O 0.0526 0.5196 0.7778
O 0.2003 0.0940 0.1417

---

[4]
For NaAlSi3O8, a structure optimized by DFT (PBE) gives the calculated XRD peak list in this record (Cu Kα X-rays).
Intensities are scaled so that the largest is 100.

Main lines, low angle first (15 to 90 degrees two-theta):
hkl	d_spacing	Position (°2θ)	I/Imax
-1 1 1	4.094	21.71	96
1 0 1	3.848	23.12	41
0 2 -1	3.708	24.00	60
-2 1 1	3.261	27.35	70
2 0 0	3.245	27.49	97
0 2 -2	3.231	27.61	100
0 2 0	3.199	27.89	39
1 2 -1	3.002	29.76	43

Structural model:
a = 7.2589 Å, b = 7.5376 Å, c = 7.8342 Å
α = 114.87°, β = 107.14°, γ = 100.51°
Space group P-1 (No. 2)
Symmetry-distinct sites (fractional):
Na 0.1459 0.2811 0.2556
Al 0.2093 0.8390 0.1802
Si 0.2372 0.1848 0.8258
Si 0.3176 0.5835 0.8058
Si 0.3615 0.8027 0.5678
O 0.0326 0.1292 0.8645
O 0.1922 0.7003 0.9267
O 0.2346 0.3321 0.7201
O 0.2575 0.9702 0.6740
O 0.2702 0.7125 0.3210
O 0.2818 0.5976 0.5942
O 0.3889 0.0963 0.3142
O 0.4337 0.3137 0.0525

---

[5]
For Na8Al6Si6O25, a structure optimized by DFT (PBE) gives the calculated XRD peak list in this record (Cu Kα X-rays).
Intensities are scaled so that the largest is 100.

Main lines, low angle first (15 to 90 degrees two-theta):
hkl	d_spacing	Position (°2θ)	I/Imax
3 0 0	3.662	24.30	100
1 0 4	3.641	24.45	25
3 1 2	2.837	31.53	18
2 1 4	2.828	31.64	24
0 4 2	2.590	34.63	42
3 3 0	2.116	42.72	15
4 4 0	1.588	58.10	13
0 4 8	1.579	58.44	13

Structural model:
a = 12.7015 Å, b = 12.7015 Å, c = 15.4333 Å
α = 90.00°, β = 90.00°, γ = 120.00°
Space group R3 (No. 146, hexagonal axes)
Symmetry-distinct sites (fractional):
Na 0.0000 0.0000 0.0000
Na 0.0000 0.0000 0.3168
Na 0.0713 0.5346 0.3615
Na 0.1041 0.2079 0.1784
Al 0.0001 0.7510 0.8792
Al 0.0854 0.4181 0.0466
Si 0.0001 0.2496 0.8803
Si 0.0004 0.7508 0.3780
O 0.0000 0.0000 0.1574
O 0.0011 0.7117 0.2767
O 0.0404 0.3712 0.9388
O 0.0463 0.6738 0.4370
O 0.0472 0.3778 0.4452
O 0.0911 0.8984 0.3834
O 0.0925 0.1951 0.8876
O 0.1856 0.8021 0.0779
O 0.1894 0.3888 0.5810

---

[6]
For NaAlSi3O8, a structure optimized by DFT (PBE) gives the calculated XRD peak list in this record (Cu Kα X-rays).
Intensities are scaled so that the largest is 100.

Main lines, low angle first (15 to 90 degrees two-theta):
hkl	d_spacing	Position (°2θ)	I/Imax
-1 1 1	4.091	21.72	66
1 0 1	3.870	22.98	31
0 1 -2	3.784	23.51	29
0 2 -1	3.763	23.65	31
0 2 -2	3.288	27.12	44
-2 1 1	3.242	27.51	83
2 0 0	3.217	27.73	100
-4 1 1	1.794	50.89	28

Structural model:
a = 7.1761 Å, b = 7.7424 Å, c = 7.7939 Å
α = 115.66°, β = 103.79°, γ = 103.53°
Space group P-1 (No. 2)
Symmetry-distinct sites (fractional):
Na 0.1345 0.2661 0.2726
Al 0.3407 0.8038 0.5734
Si 0.2203 0.8289 0.1806
Si 0.2255 0.1881 0.8409
Si 0.3353 0.5731 0.8042
O 0.0120 0.1588 0.8876
O 0.2172 0.9607 0.6982
O 0.2272 0.6957 0.9522
O 0.2424 0.7125 0.3086
O 0.2498 0.3274 0.7326
O 0.2757 0.5802 0.5942
O 0.3865 0.0669 0.3068
O 0.4110 0.3199 0.0729